Entry 1:
Calculated powder XRD pattern of YMg2Cu4 for λ = 1.5418 Å (Cu Kα), from a DFT-relaxed cell (GGA-PBE, Alexandria).

Top 10 peaks for 2θ = 10–80°, by angle:
2θ 21.6, I 42.4
2θ 28.2, I 18.3
2θ 31.9, I 11.1
2θ 37.1, I 87.5
2θ 42.2, I 100.0
2θ 43.3, I 32.0
2θ 47.4, I 10.9
2θ 54.6, I 12.2
2θ 69.3, I 10.0
2θ 75.2, I 24.0

Structural model:
Lattice parameters (Å, degrees): 6.804 6.804 6.804 111.43 111.43 105.62
Fractional coordinates of all 14 atoms:
Y  0.250  0.250  0.000
Y  0.750  0.750  0.000
Mg  0.157  0.657  0.814
Mg  0.343  0.157  0.500
Mg  0.657  0.843  0.500
Mg  0.843  0.343  0.186
Cu  0.029  0.812  0.500
Cu  0.188  0.688  0.216
Cu  0.312  0.529  0.500
Cu  0.471  0.971  0.784
Cu  0.529  0.029  0.216
Cu  0.688  0.471  0.500
Cu  0.812  0.312  0.784
Cu  0.971  0.188  0.500

Entry 2:
Calculated powder XRD pattern of Tb5Nd3Tm4 for λ = 1.5418 Å (Cu Kα), from a DFT-relaxed cell (GGA-PBE, Alexandria).

Top 10 peaks for 2θ = 10–80°, by angle:
2θ 30.7, I 100.0
2θ 35.6, I 50.6
2θ 51.2, I 24.1
2θ 51.3, I 12.0
2θ 60.9, I 28.6
2θ 61.0, I 14.2
2θ 64.0, I 6.2
2θ 64.0, I 6.2
2θ 75.4, I 3.8
2θ 75.5, I 1.9

Structural model:
Lattice parameters (Å, degrees): 6.176 7.128 8.727 90.05 90.05 90.13
Fractional coordinates of all 12 atoms:
Tb  0.000  0.000  0.000
Tb  0.335  0.500  0.334
Tb  0.499  0.752  0.000
Tb  0.501  0.248  0.000
Tb  0.665  0.500  0.666
Nd  0.000  0.500  0.000
Nd  0.166  0.249  0.665
Nd  0.834  0.751  0.335
Tm  0.168  0.752  0.666
Tm  0.334  0.000  0.334
Tm  0.666  0.000  0.666
Tm  0.832  0.248  0.334

Entry 3:
Calculated powder XRD pattern of Cs3K2 for λ = 1.5418 Å (Cu Kα), from a DFT-relaxed cell (GGA-PBE, Alexandria).

Top 10 peaks for 2θ = 10–80°, by angle:
2θ 12.5, I 14.7
2θ 20.1, I 100.0
2θ 21.7, I 81.3
2θ 29.7, I 37.2
2θ 37.2, I 40.2
2θ 38.1, I 18.2
2θ 38.6, I 24.5
2θ 44.3, I 11.6
2θ 49.1, I 17.7
2θ 59.9, I 19.0

Structural model:
Lattice parameters (Å, degrees): 9.950 9.950 9.950 90.71 90.71 90.71
Fractional coordinates of all 10 atoms:
Cs  0.078  0.750  0.422
Cs  0.250  0.578  0.922
Cs  0.422  0.078  0.750
Cs  0.578  0.922  0.250
Cs  0.750  0.422  0.078
Cs  0.922  0.250  0.578
K  0.124  0.124  0.124
K  0.376  0.376  0.376
K  0.624  0.624  0.624
K  0.876  0.876  0.876